Entry 1:
Rb2LaTa6Br15O3: simulated X-ray powder pattern (Cu Kα, 1.54184 Å), based on DFT lattice parameters and positions (GGA-PBE).
Intensities are scaled so that the largest is 100.

Atomic structure:
Cell lengths 9.613, 9.613, 18.551 Å; angles 90.00, 90.00, 120.00 degrees
Atoms (fractional coordinates):
Rb1 0.333 0.667 0.035
Rb2 0.333 0.667 0.465
Rb3 0.667 0.333 0.535
Rb4 0.667 0.333 0.965
La1 0.333 0.667 0.750
La2 0.667 0.333 0.250
Ta1 0.016 0.189 0.687
Ta2 0.016 0.828 0.813
Ta3 0.172 0.189 0.813
Ta4 0.172 0.984 0.687
Ta5 0.189 0.016 0.187
Ta6 0.189 0.172 0.313
Ta7 0.811 0.828 0.687
Ta8 0.811 0.984 0.813
Ta9 0.828 0.016 0.313
Ta10 0.828 0.811 0.187
Ta11 0.984 0.172 0.187
Ta12 0.984 0.811 0.313
Br1 0.019 0.222 0.411
Br2 0.019 0.797 0.089
Br3 0.071 0.468 0.618
Br4 0.071 0.603 0.882
Br5 0.203 0.222 0.089
Br6 0.203 0.981 0.411
Br7 0.213 0.427 0.250
Br8 0.213 0.787 0.250
Br9 0.222 0.019 0.911
Br10 0.222 0.203 0.589
Br11 0.397 0.468 0.882
Br12 0.397 0.929 0.618
Br13 0.427 0.213 0.750
Br14 0.468 0.071 0.118
Br15 0.468 0.397 0.382
Br16 0.532 0.603 0.618
Br17 0.532 0.929 0.882
Br18 0.573 0.787 0.250
Br19 0.603 0.071 0.382
Br20 0.603 0.532 0.118
Br21 0.778 0.797 0.411
Br22 0.778 0.981 0.089
Br23 0.787 0.213 0.750
Br24 0.787 0.573 0.750
Br25 0.797 0.019 0.589
Br26 0.797 0.778 0.911
Br27 0.929 0.397 0.118
Br28 0.929 0.532 0.382
Br29 0.981 0.203 0.911
Br30 0.981 0.778 0.589
O1 0.181 0.362 0.750
O2 0.181 0.819 0.750
O3 0.362 0.181 0.250
O4 0.638 0.819 0.750
O5 0.819 0.181 0.250
O6 0.819 0.638 0.250

Top 10 peaks for 2θ = 5–70°, low angle first:
2θ/deg  I_rel
9.5  81
10.6  100
14.3  40
26.7  32
28.4  30
31.9  26
34.4  82
40.4  23
40.9  30
42.4  30



Entry 2:
GeRh2S4: simulated X-ray powder pattern (Cu Kα, 1.54184 Å), based on DFT lattice parameters and positions (GGA-PBE).
Intensities are scaled so that the largest is 100.

Atomic structure:
Cell lengths 7.590, 7.590, 7.590 Å; angles 131.04, 131.04, 71.75 degrees
Atoms (fractional coordinates):
Ge1 0.375 0.125 0.250
Ge2 0.625 0.875 0.750
Rh1 0.000 0.000 0.500
Rh2 0.000 0.500 0.000
Rh3 0.000 0.500 0.500
Rh4 0.500 0.500 0.000
S1 0.003 0.900 0.735
S2 0.231 0.497 0.397
S3 0.335 0.731 0.235
S4 0.400 0.165 0.897
S5 0.600 0.835 0.103
S6 0.665 0.269 0.765
S7 0.769 0.503 0.603
S8 0.997 0.100 0.265

Top 10 peaks for 2θ = 5–70°, low angle first:
2θ/deg  I_rel
15.8  21
25.9  49
32.0  77
32.7  100
39.3  39
48.8  26
50.7  46
53.0  23
53.3  20
68.4  19



Entry 3:
Sm8Dy3Ho: simulated X-ray powder pattern (Cu Kα, 1.54184 Å), based on DFT lattice parameters and positions (GGA-PBE).
Intensities are scaled so that the largest is 100.

Atomic structure:
Cell lengths 6.930, 6.930, 9.758 Å; angles 97.05, 97.05, 119.25 degrees
Atoms (fractional coordinates):
Sm1 0.177 0.679 0.666
Sm2 0.179 0.179 0.165
Sm3 0.321 0.321 0.832
Sm4 0.321 0.823 0.334
Sm5 0.679 0.177 0.666
Sm6 0.679 0.679 0.168
Sm7 0.821 0.821 0.835
Sm8 0.823 0.321 0.334
Dy1 0.000 0.500 0.000
Dy2 0.500 0.000 0.000
Dy3 0.500 0.500 0.500
Ho1 0.000 0.000 0.500

Top 10 peaks for 2θ = 5–70°, low angle first:
2θ/deg  I_rel
29.9  30
30.0  30
32.1  100
42.9  23
49.1  8
54.5  34
54.7  11
58.5  14
67.1  6
67.2  6



Entry 4:
MgCr: simulated X-ray powder pattern (Cu Kα, 1.54184 Å), based on DFT lattice parameters and positions (GGA-PBE).
Intensities are scaled so that the largest is 100.

Atomic structure:
Cell lengths 2.900, 2.900, 27.319 Å; angles 90.00, 90.00, 120.00 degrees
Atoms (fractional coordinates):
Mg1 0.000 0.000 0.115
Mg2 0.000 0.000 0.885
Mg3 0.333 0.667 0.552
Mg4 0.333 0.667 0.782
Mg5 0.667 0.333 0.218
Mg6 0.667 0.333 0.448
Cr1 0.000 0.000 0.361
Cr2 0.000 0.000 0.639
Cr3 0.333 0.667 0.027
Cr4 0.333 0.667 0.306
Cr5 0.667 0.333 0.694
Cr6 0.667 0.333 0.973

Top 10 peaks for 2θ = 5–70°, low angle first:
2θ/deg  I_rel
9.7  100
19.5  7
38.2  58
39.6  6
42.8  14
44.8  25
51.8  10
57.2  6
64.2  12
69.4  6



Entry 5:
Mg5NpRh6: simulated X-ray powder pattern (Cu Kα, 1.54184 Å), based on DFT lattice parameters and positions (GGA-PBE).
Intensities are scaled so that the largest is 100.

Atomic structure:
Cell lengths 7.054, 7.054, 6.347 Å; angles 90.00, 90.00, 142.76 degrees
Atoms (fractional coordinates):
Mg1 0.000 0.000 0.000
Mg2 0.326 0.674 0.500
Mg3 0.332 0.668 0.000
Mg4 0.668 0.332 0.000
Mg5 0.674 0.326 0.500
Np1 0.000 0.000 0.500
Rh1 0.161 0.839 0.254
Rh2 0.161 0.839 0.746
Rh3 0.500 0.500 0.253
Rh4 0.500 0.500 0.747
Rh5 0.839 0.161 0.254
Rh6 0.839 0.161 0.746

Top 10 peaks for 2θ = 5–70°, low angle first:
2θ/deg  I_rel
13.2  18
14.0  16
19.3  13
20.8  13
25.1  15
28.2  15
40.0  26
40.2  100
40.5  24
58.2  16



Entry 6:
PaNi6H12: simulated X-ray powder pattern (Cu Kα, 1.54184 Å), based on DFT lattice parameters and positions (GGA-PBE).
Intensities are scaled so that the largest is 100.

Atomic structure:
Cell lengths 5.906, 5.906, 5.906 Å; angles 113.23, 113.23, 113.23 degrees
Atoms (fractional coordinates):
Pa1 0.000 0.000 0.000
Ni1 0.212 0.703 0.311
Ni2 0.297 0.689 0.788
Ni3 0.311 0.212 0.703
Ni4 0.689 0.788 0.297
Ni5 0.703 0.311 0.212
Ni6 0.788 0.297 0.689
H1 0.004 0.162 0.672
H2 0.132 0.471 0.407
H3 0.162 0.672 0.004
H4 0.328 0.996 0.838
H5 0.407 0.132 0.471
H6 0.471 0.407 0.132
H7 0.529 0.593 0.868
H8 0.593 0.868 0.529
H9 0.672 0.004 0.162
H10 0.838 0.328 0.996
H11 0.868 0.529 0.593
H12 0.996 0.838 0.328

Top 10 peaks for 2θ = 5–70°, low angle first:
2θ/deg  I_rel
21.6  31
28.2  27
33.7  100
36.4  54
39.8  27
42.7  31
47.9  30
48.9  17
55.0  20
63.8  17



Entry 7:
Ba2Tl3Au: simulated X-ray powder pattern (Cu Kα, 1.54184 Å), based on DFT lattice parameters and positions (GGA-PBE).
Intensities are scaled so that the largest is 100.

Atomic structure:
Cell lengths 12.214, 5.191, 8.407 Å; angles 90.00, 131.21, 90.00 degrees
Atoms (fractional coordinates):
Ba1 0.000 0.000 0.000
Ba2 0.089 0.000 0.596
Ba3 0.500 0.500 0.000
Ba4 0.589 0.500 0.596
Tl1 0.198 0.500 0.001
Tl2 0.222 0.500 0.411
Tl3 0.383 0.000 0.203
Tl4 0.698 0.000 0.001
Tl5 0.722 0.000 0.411
Tl6 0.883 0.500 0.203
Au1 0.380 0.000 0.594
Au2 0.880 0.500 0.594

Top 10 peaks for 2θ = 5–70°, low angle first:
2θ/deg  I_rel
21.2  20
27.7  22
28.3  46
28.7  69
29.3  64
33.8  28
34.0  100
34.6  58
40.9  23
55.6  21



Entry 8:
Pm2Fe2Co15: simulated X-ray powder pattern (Cu Kα, 1.54184 Å), based on DFT lattice parameters and positions (GGA-PBE).
Intensities are scaled so that the largest is 100.

Atomic structure:
Cell lengths 6.311, 6.311, 6.311 Å; angles 83.20, 83.20, 83.20 degrees
Atoms (fractional coordinates):
Pm1 0.154 0.154 0.154
Pm2 0.846 0.846 0.846
Fe1 0.402 0.402 0.402
Fe2 0.598 0.598 0.598
Co1 0.000 0.500 0.500
Co2 0.156 0.156 0.650
Co3 0.156 0.650 0.156
Co4 0.214 0.500 0.786
Co5 0.214 0.786 0.500
Co6 0.350 0.844 0.844
Co7 0.500 0.000 0.500
Co8 0.500 0.214 0.786
Co9 0.500 0.500 0.000
Co10 0.500 0.786 0.214
Co11 0.650 0.156 0.156
Co12 0.786 0.214 0.500
Co13 0.786 0.500 0.214
Co14 0.844 0.350 0.844
Co15 0.844 0.844 0.350

Top 10 peaks for 2θ = 5–70°, low angle first:
2θ/deg  I_rel
30.7  37
37.2  39
38.6  34
43.2  67
43.6  100
44.5  20
44.7  33
48.9  25
63.0  18
63.9  17



Entry 9:
Er6CdAg: simulated X-ray powder pattern (Cu Kα, 1.54184 Å), based on DFT lattice parameters and positions (GGA-PBE).
Intensities are scaled so that the largest is 100.

Atomic structure:
Cell lengths 5.011, 5.011, 17.631 Å; angles 90.00, 90.00, 90.00 degrees
Atoms (fractional coordinates):
Er1 0.000 0.000 0.249
Er2 0.000 0.000 0.751
Er3 0.000 0.500 0.112
Er4 0.000 0.500 0.388
Er5 0.000 0.500 0.612
Er6 0.000 0.500 0.888
Er7 0.500 0.000 0.112
Er8 0.500 0.000 0.388
Er9 0.500 0.000 0.612
Er10 0.500 0.000 0.888
Er11 0.500 0.500 0.251
Er12 0.500 0.500 0.749
Cd1 0.000 0.000 0.000
Cd2 0.500 0.500 0.500
Ag1 0.000 0.000 0.500
Ag2 0.500 0.500 0.000

Top 10 peaks for 2θ = 5–70°, low angle first:
2θ/deg  I_rel
27.1  5
32.4  100
35.8  41
41.0  11
51.6  14
55.5  18
58.5  5
62.3  31
67.9  10
69.2  6